1.
Starting from DFT lattice parameters and positions (PBE), the powder X-ray diffraction pattern of Er3Te5Pt was calculated for Cu Kα (weighted mean of Kα1 and Kα2).
Neutral-atom scattering factors, no anomalous dispersion.

Crystal structure
```
Er3Te5Pt
1.0
8.6904 0.0000 0.0000
-4.3452 7.5261 0.0000
0.0000 0.0000 3.9875
Er Te Pt
3 5 1
direct
0.0000 0.2698 0.0000
0.2698 0.0000 0.0000
0.7302 0.7302 0.0000
0.0000 0.6958 0.5000
0.3042 0.3042 0.5000
0.3333 0.6667 0.0000
0.6667 0.3333 0.0000
0.6958 0.0000 0.5000
0.0000 0.0000 0.5000
```

The 8 most intense peaks (2θ from 10° to 90°), by intensity:
two_theta	Rel. int.
30.43	100
35.79	78
38.89	69
11.76	52
59.20	37
32.72	29
58.23	25
45.49	20



2.
Starting from DFT lattice parameters and positions (PBE), the powder X-ray diffraction pattern of PmBr2 was calculated for Cu Kα (weighted mean of Kα1 and Kα2).
Neutral-atom scattering factors, no anomalous dispersion.

Crystal structure
```
PmBr2
1.0
7.3282 0.0000 0.0000
0.0000 7.3282 0.0000
0.0000 0.0000 3.7652
Pm Br
2 4
direct
0.0000 0.0000 0.0000
0.5000 0.5000 0.5000
0.2186 0.2186 0.5000
0.2814 0.7186 0.0000
0.7186 0.2814 0.0000
0.7814 0.7814 0.5000
```

The 8 most intense peaks (2θ from 10° to 90°), by intensity:
two_theta	Rel. int.
17.11	100
36.34	81
34.62	61
29.32	58
44.20	43
26.62	39
74.08	24
60.82	24



3.
Starting from DFT lattice parameters and positions (PBE), the powder X-ray diffraction pattern of SmSe2Cl2 was calculated for Cu Kα (weighted mean of Kα1 and Kα2).
Neutral-atom scattering factors, no anomalous dispersion.

Crystal structure
```
SmSe2Cl2
1.0
7.2101 0.0000 0.0000
2.1111 7.0560 0.0000
3.6019 -0.0611 6.9886
Sm Se Cl
2 4 4
direct
0.1728 0.0000 0.1546
0.8272 0.0000 0.8454
0.1011 0.7309 0.4975
0.2732 0.9466 0.4997
0.7268 0.0534 0.5003
0.8989 0.2691 0.5025
0.0311 0.7569 0.0312
0.4355 0.2431 0.0355
0.5645 0.7569 0.9645
0.9689 0.2431 0.9688
```

The 8 most intense peaks (2θ from 10° to 90°), by intensity:
two_theta	Rel. int.
12.55	100
14.30	49
16.44	31
34.58	22
28.15	22
27.96	22
33.30	13
33.17	13



4.
Starting from DFT lattice parameters and positions (PBE), the powder X-ray diffraction pattern of TbGd2In3Pd3 was calculated for Cu Kα (weighted mean of Kα1 and Kα2).
Neutral-atom scattering factors, no anomalous dispersion.

Crystal structure
```
TbGd2In3Pd3
1.0
3.8937 0.0000 0.0000
0.0000 6.6710 3.8553
0.0000 -6.6710 3.8553
Tb Gd In Pd
1 2 3 3
direct
0.0000 0.0000 0.0000
0.0000 0.4085 0.8171
0.0000 0.8171 0.4085
0.5000 0.1506 0.4081
0.5000 0.4081 0.1506
0.5000 0.6666 0.6666
0.0000 0.4082 0.4082
0.5000 0.0749 0.7425
0.5000 0.7425 0.0749
```

The 8 most intense peaks (2θ from 10° to 90°), by intensity:
two_theta	Rel. int.
32.70	100
35.43	89
35.59	49
40.55	37
65.50	32
46.66	23
42.71	22
60.03	21



5.
Starting from DFT lattice parameters and positions (PBE), the powder X-ray diffraction pattern of HfSc3Sb2C2 was calculated for Cu Kα (weighted mean of Kα1 and Kα2).
Neutral-atom scattering factors, no anomalous dispersion.

Crystal structure
```
HfSc3Sb2C2
1.0
3.4066 0.0000 0.0000
-1.7033 2.9502 0.0000
0.0000 0.0000 14.2454
Hf Sc Sb C
1 3 2 2
direct
0.0000 0.0000 0.0000
0.0000 0.0000 0.3315
0.6667 0.3333 0.4989
0.6667 0.3333 0.8310
0.0000 0.0000 0.6657
0.6667 0.3333 0.1628
0.3333 0.6667 0.4147
0.3333 0.6667 0.9192
```

The 8 most intense peaks (2θ from 10° to 90°), by intensity:
two_theta	Rel. int.
35.83	100
30.30	26
53.82	21
67.70	18
37.90	17
49.26	17
66.36	16
67.11	15



6.
Starting from DFT lattice parameters and positions (PBE), the powder X-ray diffraction pattern of Na3LiZnReO6 was calculated for Cu Kα (weighted mean of Kα1 and Kα2).
Neutral-atom scattering factors, no anomalous dispersion.

Crystal structure
```
Na3LiZnReO6
1.0
2.6587 -4.5867 0.0000
2.6587 4.5867 0.0000
-1.7760 0.0000 5.2426
Na Li Zn Re O
3 1 1 1 6
direct
0.0000 0.0000 0.0000
0.3265 0.6735 0.0000
0.6830 0.3170 0.0000
0.8373 0.1627 0.5000
0.1684 0.8316 0.5000
0.5035 0.4965 0.5000
0.1307 0.4323 0.2919
0.2721 0.2612 0.7084
0.4299 0.1202 0.2904
0.5677 0.8693 0.7081
0.7388 0.7279 0.2916
0.8798 0.5701 0.7096
```

The 8 most intense peaks (2θ from 10° to 90°), by intensity:
two_theta	Rel. int.
16.91	100
41.07	83
20.11	77
22.38	62
35.71	59
40.95	51
25.81	44
19.35	42



7.
Starting from DFT lattice parameters and positions (PBE), the powder X-ray diffraction pattern of Cs2Tb was calculated for Cu Kα (weighted mean of Kα1 and Kα2).
Neutral-atom scattering factors, no anomalous dispersion.

Crystal structure
```
Cs2Tb
1.0
0.0000 5.6808 5.6808
5.6808 0.0000 5.6808
5.6808 5.6808 0.0000
Cs Tb
4 2
direct
0.0000 0.0000 0.0000
0.0000 0.0000 0.5000
0.0000 0.5000 0.0000
0.5000 0.0000 0.0000
0.3750 0.3750 0.3750
0.6250 0.6250 0.6250
```

The 8 most intense peaks (2θ from 10° to 90°), by intensity:
two_theta	Rel. int.
26.01	100
41.29	39
27.19	35
45.14	33
22.13	31
62.82	25
53.50	15
38.83	15



8.
Starting from DFT lattice parameters and positions (PBE), the powder X-ray diffraction pattern of Dy2Y3Lu2Ni2Te2 was calculated for Cu Kα (weighted mean of Kα1 and Kα2).
Neutral-atom scattering factors, no anomalous dispersion.

Crystal structure
```
Dy2Y3Lu2Ni2Te2
1.0
-1.9157 7.7601 4.7763
1.9157 -7.7601 4.7763
1.9157 7.7601 -4.7763
Dy Y Lu Ni Te
2 3 2 2 2
direct
0.1324 0.0000 0.1324
0.8676 0.0000 0.8676
0.5167 0.2022 0.3145
0.5793 0.5793 0.0000
0.8878 0.2022 0.6855
0.2050 0.8522 0.3528
0.4994 0.8522 0.6472
0.2679 0.5045 0.7634
0.7411 0.5045 0.2366
0.2467 0.2467 0.0000
0.8447 0.3447 0.5000
```

The 8 most intense peaks (2θ from 10° to 90°), by intensity:
two_theta	Rel. int.
34.20	100
33.03	62
34.67	55
30.46	41
59.04	31
47.46	23
51.33	22
45.12	19



9.
Starting from DFT lattice parameters and positions (PBE), the powder X-ray diffraction pattern of Sr2Re6S11 was calculated for Cu Kα (weighted mean of Kα1 and Kα2).
Neutral-atom scattering factors, no anomalous dispersion.

Crystal structure
```
Sr2Re6S11
1.0
4.5629 2.6344 10.5770
-4.5629 2.6344 10.5770
0.0000 -5.2687 10.5770
Sr Re S
4 12 22
direct
0.1897 0.1897 0.1897
0.3103 0.3103 0.3103
0.6897 0.6897 0.6897
0.8103 0.8103 0.8103
0.0063 0.2121 0.8843
0.1157 0.9937 0.7879
0.2121 0.8843 0.0063
0.2879 0.4937 0.6157
0.3843 0.7121 0.5063
0.4937 0.6157 0.2879
0.5063 0.3843 0.7121
0.6157 0.2879 0.4937
0.7121 0.5063 0.3843
0.7879 0.1157 0.9937
0.8843 0.0063 0.2121
0.9937 0.7879 0.1157
0.0047 0.4953 0.7500
0.0822 0.7009 0.3081
0.0926 0.0926 0.0926
0.1919 0.7991 0.4178
0.2009 0.5822 0.8081
0.2500 0.9953 0.5047
0.2991 0.6919 0.9178
0.3081 0.0822 0.7009
0.4074 0.4074 0.4074
0.4178 0.1919 0.7991
0.4953 0.7500 0.0047
0.5047 0.2500 0.9953
0.5822 0.8081 0.2009
0.5926 0.5926 0.5926
0.6919 0.9178 0.2991
0.7009 0.3081 0.0822
0.7500 0.0047 0.4953
0.7991 0.4178 0.1919
0.8081 0.2009 0.5822
0.9074 0.9074 0.9074
0.9178 0.2991 0.6919
0.9953 0.5047 0.2500
```

The 8 most intense peaks (2θ from 10° to 90°), by intensity:
two_theta	Rel. int.
12.51	100
15.83	47
41.48	25
47.46	23
30.44	20
36.01	17
52.46	14
33.15	13



10.
Starting from DFT lattice parameters and positions (PBE), the powder X-ray diffraction pattern of LiOsPb2S6 was calculated for Cu Kα (weighted mean of Kα1 and Kα2).
Neutral-atom scattering factors, no anomalous dispersion.

Crystal structure
```
LiOsPb2S6
1.0
-3.0009 3.0009 5.7829
3.0009 -3.0009 5.7829
3.0009 3.0009 -5.7829
Li Os Pb S
1 1 2 6
direct
0.0000 0.0000 0.0000
0.5000 0.5000 0.0000
0.2500 0.7500 0.5000
0.7500 0.2500 0.5000
0.1264 0.6279 0.7543
0.2932 0.2932 0.0000
0.3721 0.1264 0.4985
0.6279 0.8736 0.5015
0.7068 0.7068 0.0000
0.8736 0.3721 0.2457
```

The 8 most intense peaks (2θ from 10° to 90°), by intensity:
two_theta	Rel. int.
26.04	100
29.77	71
50.62	57
16.64	52
43.46	46
30.93	43
69.51	30
52.14	30



11.
Starting from DFT lattice parameters and positions (PBE), the powder X-ray diffraction pattern of La7Ir4C9 was calculated for Cu Kα (weighted mean of Kα1 and Kα2).
Neutral-atom scattering factors, no anomalous dispersion.

Crystal structure
```
La7Ir4C9
1.0
5.9858 -2.7140 0.0000
5.9858 2.7140 0.0000
-4.2392 0.0000 11.1810
La Ir C
7 4 9
direct
0.0000 0.0000 0.0000
0.1345 0.1345 0.6125
0.1530 0.1530 0.3182
0.3741 0.3741 0.1606
0.6259 0.6259 0.8394
0.8470 0.8470 0.6818
0.8655 0.8655 0.3875
0.3576 0.3576 0.8582
0.4308 0.4308 0.5684
0.5692 0.5692 0.4316
0.6424 0.6424 0.1418
0.0777 0.0777 0.8202
0.1950 0.1950 0.8547
0.3821 0.3821 0.7062
0.3870 0.3870 0.3808
0.5000 0.5000 0.0000
0.6130 0.6130 0.6192
0.6179 0.6179 0.2938
0.8050 0.8050 0.1453
0.9223 0.9223 0.1798
```

The 8 most intense peaks (2θ from 10° to 90°), by intensity:
two_theta	Rel. int.
32.39	100
33.00	59
31.86	57
31.99	33
27.76	28
46.63	23
58.55	19
34.41	17



12.
Starting from DFT lattice parameters and positions (PBE), the powder X-ray diffraction pattern of Hf4Zr2S3N3 was calculated for Cu Kα (weighted mean of Kα1 and Kα2).
Neutral-atom scattering factors, no anomalous dispersion.

Crystal structure
```
Hf4Zr2S3N3
1.0
5.0179 -2.8956 0.0000
5.0179 2.8956 0.0000
-3.3446 0.0000 12.0076
Hf Zr S N
8 4 6 6
direct
0.0264 0.2052 0.0982
0.1398 0.3008 0.4017
0.2052 0.0264 0.5982
0.3008 0.1398 0.9017
0.6992 0.8602 0.0983
0.7948 0.9736 0.4018
0.8602 0.6992 0.5983
0.9736 0.7948 0.9018
0.3725 0.5335 0.0997
0.4665 0.6275 0.4003
0.5335 0.3725 0.5997
0.6275 0.4665 0.9003
0.0783 0.9217 0.2500
0.2454 0.4156 0.7482
0.4156 0.2454 0.2482
0.5844 0.7546 0.7518
0.7546 0.5844 0.2518
0.9217 0.0783 0.7500
0.0000 0.5000 0.0000
0.1479 0.6757 0.5000
0.3243 0.8521 0.0000
0.5000 0.0000 0.5000
0.6757 0.1479 0.0000
0.8521 0.3243 0.5000
```

The 8 most intense peaks (2θ from 10° to 90°), by intensity:
two_theta	Rel. int.
38.36	100
31.78	32
30.87	27
54.91	27
68.96	17
29.76	15
73.85	14
62.98	14